Record 1
Computed powder X-ray diffraction pattern of Tb12Co2Bi5 for copper Kα, from a cell relaxed with PBE.
Kinematic intensities with the Lorentz-polarization factor, no thermal factor.

Main lines, sorted by position (10 to 80 degrees two-theta):
2θ (°), I/Imax
19.57, 36
21.92, 42
30.50, 68
31.63, 100
33.93, 26
34.15, 23
37.49, 30
39.01, 24
41.51, 18
47.97, 22

Atomic structure:
Cell: 17.703 7.586 9.597 Å, 90.00 106.44 90.00°
Space group C2/m (No. 12)
Inequivalent atoms, fractional coordinates:
Tb 0.000 0.000 0.168 (multiplicity 4)
Tb 0.003 0.500 0.227 (multiplicity 4)
Tb 0.140 0.260 0.557 (multiplicity 8)
Tb 0.151 0.258 0.077 (multiplicity 8)
Co 0.000 0.291 0.000 (multiplicity 4)
Bi 0.000 0.000 0.500 (multiplicity 2)
Bi 0.196 0.500 0.833 (multiplicity 4)
Bi 0.214 0.500 0.362 (multiplicity 4)

Record 2
Computed powder X-ray diffraction pattern of Li4Ga2Ge for copper Kα, from a cell relaxed with PBE.
Kinematic intensities with the Lorentz-polarization factor, no thermal factor.

Main lines, sorted by position (10 to 80 degrees two-theta):
2θ (°), I/Imax
13.32, 69
26.50, 100
27.51, 56
29.77, 27
37.83, 46
38.81, 78
47.41, 25
55.31, 57
61.67, 18
68.96, 19

Atomic structure:
Cell: 4.756 4.756 13.292 Å, 90.00 90.00 90.00°
Space group I4/mmm (No. 139)
Inequivalent atoms, fractional coordinates:
Li 0.000 0.000 0.193 (multiplicity 4)
Li 0.000 0.500 0.000 (multiplicity 4)
Ga 0.000 0.000 0.396 (multiplicity 4)
Ge 0.000 0.000 0.000 (multiplicity 2)

Record 3
Computed powder X-ray diffraction pattern of YTm3Cd6 for copper Kα, from a cell relaxed with PBE.
Kinematic intensities with the Lorentz-polarization factor, no thermal factor.

Main lines, sorted by position (10 to 80 degrees two-theta):
2θ (°), I/Imax
34.35, 68
34.65, 100
35.03, 33
49.10, 12
50.08, 23
61.71, 23
62.28, 12
62.39, 12
62.59, 12
73.11, 11

Atomic structure:
Cell: 9.104 5.123 10.962 Å, 90.00 105.60 90.00°
Space group P2_1/m (No. 11)
Inequivalent atoms, fractional coordinates:
Y 0.056 0.250 0.392 (multiplicity 2)
Tm 0.242 0.250 0.998 (multiplicity 2)
Tm 0.352 0.750 0.797 (multiplicity 2)
Tm 0.469 0.250 0.605 (multiplicity 2)
Cd 0.053 0.750 0.903 (multiplicity 2)
Cd 0.143 0.750 0.197 (multiplicity 2)
Cd 0.156 0.250 0.694 (multiplicity 2)
Cd 0.245 0.750 0.502 (multiplicity 2)
Cd 0.346 0.250 0.293 (multiplicity 2)
Cd 0.450 0.750 0.097 (multiplicity 2)

Record 4
Computed powder X-ray diffraction pattern of Pr3Nd6In2 for copper Kα, from a cell relaxed with PBE.
Kinematic intensities with the Lorentz-polarization factor, no thermal factor.

Main lines, sorted by position (10 to 80 degrees two-theta):
2θ (°), I/Imax
27.37, 62
29.83, 26
30.84, 100
33.43, 59
33.61, 35
38.42, 73
49.38, 26
51.83, 34
55.46, 25
64.81, 24

Atomic structure:
Cell: 4.686 4.686 35.938 Å, 90.00 90.00 90.00°
Space group I4/mmm (No. 139)
Inequivalent atoms, fractional coordinates:
Pr 0.000 0.000 0.000 (multiplicity 2)
Pr 0.000 0.000 0.168 (multiplicity 4)
Nd 0.000 0.000 0.271 (multiplicity 4)
Nd 0.000 0.500 0.081 (multiplicity 8)
In 0.000 0.000 0.358 (multiplicity 4)

Record 5
Computed powder X-ray diffraction pattern of LiDyTeS for copper Kα, from a cell relaxed with PBE.
Kinematic intensities with the Lorentz-polarization factor, no thermal factor.

Main lines, sorted by position (10 to 80 degrees two-theta):
2θ (°), I/Imax
12.81, 68
24.27, 17
25.13, 37
27.54, 27
31.17, 100
40.88, 31
42.71, 38
44.77, 19
53.81, 21
71.02, 19

Atomic structure:
Cell: 4.2343 4.2343 13.8204 Å, 90.00 90.00 120.00°
Space group P6_3mc (No. 186)
Inequivalent atoms, fractional coordinates:
Li 0.0000 0.0000 0.0000 (multiplicity 2)
Dy 0.3333 0.6667 0.2616 (multiplicity 2)
Te 0.3333 0.6667 0.9041 (multiplicity 2)
S 0.0000 0.0000 0.1745 (multiplicity 2)

Record 6
Computed powder X-ray diffraction pattern of Tl4Hg2AsAu for copper Kα, from a cell relaxed with PBE.
Kinematic intensities with the Lorentz-polarization factor, no thermal factor.

Main lines, sorted by position (10 to 80 degrees two-theta):
2θ (°), I/Imax
28.60, 50
28.82, 100
38.65, 24
39.17, 37
42.87, 36
43.66, 15
48.78, 24
59.71, 12
64.02, 11
70.13, 8

Atomic structure:
Cell: 7.131 4.659 7.936 Å, 90.00 112.95 90.00°
Space group P2/m (No. 10)
Inequivalent atoms, fractional coordinates:
Tl 0.239 0.000 0.215 (multiplicity 2)
Tl 0.256 0.500 0.787 (multiplicity 2)
Hg 0.000 0.000 0.500 (multiplicity 1)
Hg 0.500 0.500 0.500 (multiplicity 1)
As 0.000 0.500 0.000 (multiplicity 1)
Au 0.500 0.000 0.000 (multiplicity 1)

Record 7
Computed powder X-ray diffraction pattern of Zr6CdBi for copper Kα, from a cell relaxed with PBE.
Kinematic intensities with the Lorentz-polarization factor, no thermal factor.

Main lines, sorted by position (10 to 80 degrees two-theta):
2θ (°), I/Imax
22.14, 14
31.51, 44
35.35, 73
38.85, 100
58.62, 17
61.07, 52
65.79, 15
74.78, 14
76.95, 14
79.09, 9

Atomic structure:
Cell: 8.0329 8.0329 9.8267 Å, 90.00 90.00 120.00°
Space group R-3 (No. 148, hexagonal axes)
Inequivalent atoms, fractional coordinates:
Zr 0.0032 0.7515 0.2512 (multiplicity 18)
Cd 0.0000 0.0000 0.5000 (multiplicity 3)
Bi 0.0000 0.0000 0.0000 (multiplicity 3)

Record 8
Computed powder X-ray diffraction pattern of Cs4LiTl4 for copper Kα, from a cell relaxed with PBE.
Kinematic intensities with the Lorentz-polarization factor, no thermal factor.

Main lines, sorted by position (10 to 80 degrees two-theta):
2θ (°), I/Imax
15.93, 19
21.75, 64
22.60, 27
25.90, 100
30.23, 48
31.57, 23
37.55, 48
42.53, 22
54.31, 18
57.06, 18

Atomic structure:
Cell: 7.870 7.870 16.345 Å, 90.00 90.00 90.00°
Space group I-42m (No. 121)
Inequivalent atoms, fractional coordinates:
Cs 0.185 0.185 0.371 (multiplicity 8)
Li 0.000 0.000 0.000 (multiplicity 2)
Tl 0.152 0.152 0.133 (multiplicity 8)

Record 9
Computed powder X-ray diffraction pattern of Ba4SnPb for copper Kα, from a cell relaxed with PBE.
Kinematic intensities with the Lorentz-polarization factor, no thermal factor.

Main lines, sorted by position (10 to 80 degrees two-theta):
2θ (°), I/Imax
18.09, 32
20.91, 7
29.75, 100
35.03, 19
42.57, 19
46.60, 9
52.79, 40
56.27, 7
61.78, 13
70.06, 18

Atomic structure:
Cell: 8.495 8.495 16.988 Å, 90.00 90.00 90.00°
Space group I4_1/a (No. 88, origin choice 2)
Inequivalent atoms, fractional coordinates:
Ba 0.248 0.000 0.000 (multiplicity 16)
Sn 0.000 0.250 0.125 (multiplicity 4)
Pb 0.000 0.250 0.625 (multiplicity 4)

Record 10
Computed powder X-ray diffraction pattern of BaTi2P4O14 for copper Kα, from a cell relaxed with PBE.
Kinematic intensities with the Lorentz-polarization factor, no thermal factor.

Main lines, sorted by position (10 to 80 degrees two-theta):
2θ (°), I/Imax
13.66, 61
23.22, 41
24.60, 100
26.37, 43
27.18, 50
28.04, 69
30.11, 52
32.26, 35
34.13, 43
35.53, 37

Atomic structure:
Cell: 10.783 10.761 10.032 Å, 90.00 102.85 90.00°
Space group C2/c (No. 15)
Inequivalent atoms, fractional coordinates:
Ba 0.250 0.250 0.000 (multiplicity 4)
Ti 0.000 0.000 0.000 (multiplicity 4)
Ti 0.000 0.452 0.250 (multiplicity 4)
P 0.061 0.314 0.556 (multiplicity 8)
P 0.220 0.042 0.297 (multiplicity 8)
O 0.027 0.179 0.573 (multiplicity 8)
O 0.033 0.398 0.891 (multiplicity 8)
O 0.069 0.344 0.409 (multiplicity 8)
O 0.140 0.079 0.157 (multiplicity 8)
O 0.142 0.009 0.401 (multiplicity 8)
O 0.181 0.440 0.204 (multiplicity 8)
O 0.201 0.330 0.654 (multiplicity 8)

Record 11
Computed powder X-ray diffraction pattern of La3NiGe for copper Kα, from a cell relaxed with PBE.
Kinematic intensities with the Lorentz-polarization factor, no thermal factor.

Main lines, sorted by position (10 to 80 degrees two-theta):
2θ (°), I/Imax
26.04, 20
30.79, 30
31.16, 100
32.10, 12
35.11, 34
35.23, 13
43.13, 20
49.00, 12
53.93, 14
59.34, 21

Atomic structure:
Cell: 4.195 9.621 6.843 Å, 90.00 90.00 90.00°
Space group Pmmn (No. 59, origin choice 2)
Inequivalent atoms, fractional coordinates:
La 0.250 0.053 0.236 (multiplicity 4)
La 0.250 0.250 0.688 (multiplicity 2)
Ni 0.250 0.750 0.610 (multiplicity 2)
Ge 0.250 0.750 0.978 (multiplicity 2)

Record 12
Computed powder X-ray diffraction pattern of Fe2PPb for copper Kα, from a cell relaxed with PBE.
Kinematic intensities with the Lorentz-polarization factor, no thermal factor.

Main lines, sorted by position (10 to 80 degrees two-theta):
2θ (°), I/Imax
13.65, 30
27.49, 33
29.48, 82
32.62, 100
40.70, 48
40.79, 49
51.88, 16
52.00, 17
52.30, 42
63.02, 16

Atomic structure:
Cell: 6.060 3.498 6.490 Å, 90.00 90.18 90.00°
Space group Cm (No. 8)
Inequivalent atoms, fractional coordinates:
Fe 0.000 0.000 0.000 (multiplicity 2)
Fe 0.168 0.500 0.269 (multiplicity 2)
P 0.334 0.000 0.154 (multiplicity 2)
Pb 0.164 0.500 0.683 (multiplicity 2)